No. 1
Structure and calculated powder diffractogram of Zr2Ga6Os (the GGA-PBE geometry in Alexandria; λ = 1.5418 Å (Cu Kα)).

Crystal structure
```
9
Lattice="7.136 -3.166 0.000 7.136 3.166 0.000 -1.157 0.000 3.942" Properties=species:S:1:pos:R:3 pbc="T T T"
Zr 2.937 0.000 0.860
Zr 10.178 0.000 3.082
Ga 4.894 1.816 1.486
Ga 7.136 1.631 0.000
Ga 8.221 1.816 2.456
Ga 4.894 -1.816 1.486
Ga 7.136 -1.631 0.000
Ga 8.221 -1.816 2.456
Os 6.557 0.000 1.971
```

Peak list (10 most intense, 2θ = 10–90°, by angle)
d 6.847, I = 44
d 3.935, I = 52
d 3.703, I = 100
d 3.447, I = 81
d 2.436, I = 53
d 2.422, I = 54
d 2.324, I = 57
d 2.202, I = 92
d 2.194, I = 90
d 2.054, I = 65

=====

No. 2
Structure and calculated powder diffractogram of NaLi2BeS (the GGA-PBE geometry in Alexandria; λ = 1.5418 Å (Cu Kα)).

Crystal structure
```
5
Lattice="4.610 0.000 0.000 0.000 4.610 0.000 0.000 0.000 5.399" Properties=species:S:1:pos:R:3 pbc="T T T"
Na 0.000 0.000 0.000
Li 0.000 2.305 2.699
Li 2.305 0.000 2.699
Be 2.305 2.305 0.000
S 0.000 0.000 2.699
```

Peak list (10 most intense, 2θ = 10–90°, by angle)
d 4.610, I = 100
d 3.260, I = 46
d 2.699, I = 25
d 2.329, I = 30
d 2.305, I = 30
d 2.079, I = 22
d 2.062, I = 20
d 1.753, I = 24
d 1.638, I = 18
d 1.395, I = 11